Calculated X-ray powder pattern
Compound: Li4VF8
Radiation: λ = 1.5418 Å (Cu Kα)
Structure: a cell relaxed with GGA+U
No peak broadening, texture or thermal motion is included.

Atomic structure:
```
data_Li4VF8
_cell_length_a 5.1712
_cell_length_b 6.0432
_cell_length_c 5.3169
_cell_angle_alpha 90.00
_cell_angle_beta 111.82
_cell_angle_gamma 90.00
_space_group_name_H-M_alt 'P 1 2 1'
_space_group_IT_number 3
loop_
_space_group_symop_operation_xyz
'x,y,z'
'-x,y,-z'
loop_
_atom_site_label
_atom_site_type_symbol
_atom_site_fract_x
_atom_site_fract_y
_atom_site_fract_z
Li1 Li 0.0000 0.0000 0.0000
Li2 Li 0.0000 0.2060 0.5000
Li3 Li 0.0000 0.7555 0.5000
Li4 Li 0.5000 0.8200 0.0000
V1 V 0.0000 0.4874 0.0000
F1 F 0.1943 0.4989 0.7589
F2 F 0.1943 0.9747 0.7586
F3 F 0.2189 0.2692 0.2256
F4 F 0.2414 0.7119 0.2075
```

The 10 most intense peaks (2θ from 10° to 80°), in order of rising 2θ:
2theta	I (rel.)
14.66	55
17.97	56
18.48	100
23.27	26
23.67	26
25.26	39
36.22	20
41.61	44
42.93	89
60.59	23